(1)
Structure and simulated powder diffraction line list of GeBr2F10 (a crystal structure in the Materials Project, relaxed with PBE; Cu Kα, 1.54184 Å).
Kinematic intensities with the Lorentz-polarization factor, no thermal factor.

Most intense lines, 2θ = 10–80°, by angle:
hkl 0 0 2, 2θ 12.48, rel. 31
hkl 0 1 -2, 2θ 19.39, rel. 98
hkl 1 -1 1, 2θ 20.19, rel. 41
hkl 1 0 -2, 2θ 22.35, rel. 79
hkl -1 1 2, 2θ 22.96, rel. 50
hkl 0 1 3, 2θ 23.97, rel. 100
hkl 1 0 3, 2θ 26.45, rel. 55
hkl 1 1 0, 2θ 27.57, rel. 70
hkl 1 -1 4, 2θ 31.80, rel. 30
hkl -1 3 1, 2θ 42.96, rel. 30

Structural model:
```
data_GeBr2F10
_chemical_formula_sum 'Ge2 Br4 F20'
_cell_length_a 5.132
_cell_length_b 6.402
_cell_length_c 14.186
_cell_angle_alpha 90.00
_cell_angle_beta 90.00
_cell_angle_gamma 110.57
_symmetry_space_group_name_H-M 'P 1'
_symmetry_Int_Tables_number 1
loop_
_symmetry_equiv_pos_as_xyz
'x,y,z'
loop_
_atom_site_label
_atom_site_type_symbol
_atom_site_fract_x
_atom_site_fract_y
_atom_site_fract_z
Ge1 Ge 0.000 0.000 0.000
Ge2 Ge 0.499 0.505 0.501
Br1 Br 0.160 0.836 0.371
Br2 Br 0.349 0.670 0.869
Br3 Br 0.661 0.330 0.136
Br4 Br 0.852 0.180 0.637
F1 F 0.059 0.065 0.327
F2 F 0.062 0.605 0.788
F3 F 0.109 0.839 0.081
F4 F 0.204 0.236 0.538
F5 F 0.237 0.955 0.905
F6 F 0.277 0.553 0.405
F7 F 0.298 0.263 0.043
F8 F 0.401 0.666 0.585
F9 F 0.443 0.902 0.286
F10 F 0.453 0.444 0.830
F11 F 0.562 0.097 0.715
F12 F 0.565 0.558 0.180
F13 F 0.618 0.339 0.420
F14 F 0.706 0.734 0.968
F15 F 0.744 0.455 0.600
F16 F 0.765 0.052 0.096
F17 F 0.791 0.758 0.466
F18 F 0.884 0.165 0.922
F19 F 0.948 0.402 0.218
F20 F 0.949 0.943 0.680
```

(2)
Structure and simulated powder diffraction line list of CeSi2Ir3 (a crystal structure in the Materials Project, relaxed with PBE; Cu Kα, 1.54184 Å).
Kinematic intensities with the Lorentz-polarization factor, no thermal factor.

Most intense lines, 2θ = 10–80°, by angle:
hkl 0 0 1, 2θ 23.89, rel. 30
hkl 1 0 1, 2θ 30.29, rel. 67
hkl 2 0 0, 2θ 37.20, rel. 100
hkl 1 1 1, 2θ 40.38, rel. 51
hkl 2 0 1, 2θ 44.70, rel. 55
hkl 0 0 2, 2θ 48.91, rel. 19
hkl 2 1 1, 2θ 56.07, rel. 24
hkl 3 0 1, 2θ 62.84, rel. 14
hkl 2 0 2, 2θ 63.01, rel. 44
hkl 2 2 0, 2θ 67.07, rel. 23

Structural model:
```
data_CeSi2Ir3
_chemical_formula_sum 'Ce1 Si2 Ir3'
_cell_length_a 5.5817
_cell_length_b 5.5817
_cell_length_c 3.7246
_cell_angle_alpha 90.00
_cell_angle_beta 90.00
_cell_angle_gamma 120.00
_symmetry_space_group_name_H-M 'P 6/m m m'
_symmetry_Int_Tables_number 191
_symmetry_space_group_name_Hall '-P 6 2'
loop_
_atom_site_label
_atom_site_type_symbol
_atom_site_fract_x
_atom_site_fract_y
_atom_site_fract_z
Ce1 Ce 0.0000 0.0000 0.0000
Si1 Si 0.3333 0.6667 0.0000
Ir1 Ir 0.0000 0.5000 0.5000
```

(3)
Structure and simulated powder diffraction line list of MgSO5 (a crystal structure in the Materials Project, relaxed with PBE; Cu Kα, 1.54184 Å).
Kinematic intensities with the Lorentz-polarization factor, no thermal factor.

Most intense lines, 2θ = 10–80°, by angle:
hkl 1 1 0, 2θ 18.06, rel. 89
hkl 1 1 1, 2θ 25.17, rel. 68
hkl 0 2 1, 2θ 26.31, rel. 100
hkl 2 0 -2, 2θ 29.52, rel. 33
hkl 0 2 2, 2θ 34.55, rel. 26
hkl 2 2 -1, 2θ 34.77, rel. 26
hkl 1 3 -2, 2θ 42.43, rel. 13
hkl 2 2 1, 2θ 42.62, rel. 23
hkl 2 2 -4, 2θ 54.22, rel. 15
hkl 1 3 3, 2θ 59.36, rel. 14

Structural model:
```
data_MgSO5
_chemical_formula_sum 'Mg4 S4 O20'
_cell_length_a 6.922
_cell_length_b 7.758
_cell_length_c 7.621
_cell_angle_alpha 90.00
_cell_angle_beta 113.52
_cell_angle_gamma 90.00
_symmetry_space_group_name_H-M 'C 1 2/c 1'
_symmetry_Int_Tables_number 15
loop_
_symmetry_equiv_pos_as_xyz
'x,y,z'
'-x,-y,-z'
'-x,y,-z+1/2'
'x,-y,z+1/2'
'x+1/2,y+1/2,z'
'-x+1/2,-y+1/2,-z'
'-x+1/2,y+1/2,-z+1/2'
'x+1/2,-y+1/2,z+1/2'
loop_
_atom_site_label
_atom_site_type_symbol
_atom_site_fract_x
_atom_site_fract_y
_atom_site_fract_z
Mg1 Mg 0.250 0.250 0.000
S1 S 0.000 0.091 0.250
O1 O 0.000 0.351 0.750
O2 O 0.030 0.201 0.105
O3 O 0.191 0.020 0.844
```

- Number 3 is which compound?
  MgSO5